[1]
This entry pairs a crystal structure of Nd3B2C3 with its computed XRD peak list. Radiation: Cu Kα. Structure: a cell relaxed with GGA-PBE.
No peak broadening, texture or thermal motion is included.

Peak list (6 most intense, 10 to 90 degrees two-theta, by intensity)
| 2θ/deg | d [Å] | I_rel |
| --- | --- | --- |
| 24.57 | 3.623 | 100 |
| 34.23 | 2.619 | 38 |
| 31.82 | 2.812 | 37 |
| 39.56 | 2.278 | 36 |
| 35.80 | 2.508 | 24 |
| 46.81 | 1.941 | 22 |

Atomic structure:
```
Nd3B2C3
1.0
1.4881 -5.2386 0.0000
1.4881 5.2386 0.0000
0.0000 0.0000 15.0497
Nd B C
6 4 6
direct
0.1234 0.8766 0.6028
0.1234 0.8766 0.8972
0.3727 0.6273 0.7500
0.6273 0.3727 0.2500
0.8766 0.1234 0.1028
0.8766 0.1234 0.3972
0.1386 0.8614 0.0858
0.1386 0.8614 0.4142
0.8614 0.1386 0.5858
0.8614 0.1386 0.9142
0.3565 0.6435 0.2500
0.3832 0.6168 0.5717
0.3832 0.6168 0.9283
0.6168 0.3832 0.0717
0.6168 0.3832 0.4283
0.6435 0.3565 0.7500
```

***

[2]
This entry pairs a crystal structure of PaTl2Te3 with its computed XRD peak list. Radiation: Cu Kα. Structure: a cell relaxed with GGA-PBE.
No peak broadening, texture or thermal motion is included.

Peak list (6 most intense, 10 to 90 degrees two-theta, by intensity)
| 2θ/deg | d [Å] | I_rel |
| --- | --- | --- |
| 26.80 | 3.327 | 100 |
| 37.36 | 2.407 | 26 |
| 39.16 | 2.301 | 24 |
| 36.99 | 2.430 | 13 |
| 48.37 | 1.882 | 12 |
| 55.22 | 1.663 | 11 |

Atomic structure:
```
PaTl2Te3
1.0
3.9955 -6.8479 0.0000
3.9955 6.8479 0.0000
-2.5894 0.0000 8.1070
Pa Tl Te
2 4 6
direct
0.1692 0.8308 0.0000
0.8308 0.1692 0.0000
0.0000 0.0000 0.5000
0.3450 0.6550 0.5000
0.5000 0.5000 0.0000
0.6550 0.3450 0.5000
0.0590 0.4239 0.7759
0.2062 0.2062 0.2104
0.4239 0.0590 0.7759
0.5761 0.9410 0.2241
0.7938 0.7938 0.7896
0.9410 0.5761 0.2241
```

***

[3]
This entry pairs a crystal structure of Ca5As3ClO12 with its computed XRD peak list. Radiation: Cu Kα. Structure: a cell relaxed with GGA-PBE.
No peak broadening, texture or thermal motion is included.

Peak list (6 most intense, 10 to 90 degrees two-theta, by intensity)
| 2θ/deg | d [Å] | I_rel |
| --- | --- | --- |
| 29.45 | 3.033 | 100 |
| 29.93 | 2.986 | 70 |
| 33.01 | 2.713 | 44 |
| 26.13 | 3.411 | 41 |
| 21.56 | 4.121 | 39 |
| 38.57 | 2.334 | 37 |

Atomic structure:
```
Ca5As3ClO12
1.0
10.3434 0.0000 0.0000
-5.1717 8.9577 0.0000
0.0000 0.0000 6.8211
Ca As Cl O
10 6 2 24
direct
0.0327 0.2786 0.0000
0.2459 0.9673 0.0000
0.2786 0.2459 0.5000
0.3333 0.6667 0.2554
0.3333 0.6667 0.7454
0.6667 0.3333 0.2454
0.6667 0.3333 0.7554
0.7214 0.7541 0.0000
0.7541 0.0327 0.5000
0.9673 0.7214 0.5000
0.0292 0.6189 0.0010
0.3811 0.4102 0.0010
0.4102 0.0292 0.5010
0.5898 0.9708 0.0010
0.6189 0.5898 0.5010
0.9708 0.3811 0.5010
0.0000 0.0000 0.0319
0.0000 0.0000 0.5319
0.0849 0.7374 0.8020
0.0870 0.7359 0.2015
0.1428 0.5389 0.9994
0.1548 0.5159 0.5012
0.2626 0.3474 0.8020
0.2641 0.3510 0.2015
0.3474 0.0849 0.3020
0.3510 0.0870 0.7015
0.3611 0.8452 0.5012
0.3962 0.8572 0.9994
0.4611 0.6038 0.9994
0.4841 0.6389 0.5012
0.5159 0.3611 0.0012
0.5389 0.3962 0.4994
0.6038 0.1428 0.4994
0.6389 0.1548 0.0012
0.6490 0.9130 0.2015
0.6526 0.9151 0.8020
0.7359 0.6490 0.7015
0.7374 0.6526 0.3020
0.8452 0.4841 0.0012
0.8572 0.4611 0.4994
0.9130 0.2641 0.7015
0.9151 0.2626 0.3020
```

***

[4]
This entry pairs a crystal structure of Cs5Bi2O6 with its computed XRD peak list. Radiation: Cu Kα. Structure: a cell relaxed with GGA-PBE.
No peak broadening, texture or thermal motion is included.

Peak list (6 most intense, 10 to 90 degrees two-theta, by intensity)
| 2θ/deg | d [Å] | I_rel |
| --- | --- | --- |
| 25.70 | 3.467 | 100 |
| 25.91 | 3.439 | 71 |
| 27.84 | 3.204 | 68 |
| 28.38 | 3.145 | 67 |
| 29.91 | 2.987 | 60 |
| 22.73 | 3.913 | 46 |

Atomic structure:
```
Cs5Bi2O6
1.0
4.3996 0.0000 0.0000
0.0000 12.2362 0.0000
-4.0102 0.0000 13.8579
Cs Bi O
10 4 12
direct
0.0000 0.0000 0.0000
0.0000 0.5000 0.5000
0.2704 0.1605 0.5018
0.2704 0.3395 0.0018
0.4739 0.5623 0.2369
0.4739 0.9377 0.7369
0.5261 0.0623 0.2631
0.5261 0.4377 0.7631
0.7296 0.6605 0.9982
0.7296 0.8395 0.4982
0.0296 0.6920 0.7811
0.0296 0.8080 0.2811
0.9704 0.1920 0.7189
0.9704 0.3080 0.2189
0.1156 0.6779 0.3797
0.1156 0.8221 0.8797
0.1213 0.5601 0.8767
0.1213 0.9399 0.3767
0.4826 0.6867 0.7306
0.4826 0.8133 0.2306
0.5174 0.1867 0.7694
0.5174 0.3133 0.2694
0.8787 0.0601 0.6233
0.8787 0.4399 0.1233
0.8844 0.1779 0.1203
0.8844 0.3221 0.6203
```

***

[5]
This entry pairs a crystal structure of Hf2Al7Zn2 with its computed XRD peak list. Radiation: Cu Kα. Structure: a cell relaxed with GGA-PBE.
No peak broadening, texture or thermal motion is included.

Peak list (6 most intense, 10 to 90 degrees two-theta, by intensity)
| 2θ/deg | d [Å] | I_rel |
| --- | --- | --- |
| 38.84 | 2.319 | 100 |
| 25.63 | 3.475 | 43 |
| 12.75 | 6.943 | 40 |
| 24.75 | 3.597 | 25 |
| 23.88 | 3.727 | 24 |
| 29.38 | 3.040 | 20 |

Atomic structure:
```
Hf2Al7Zn2
1.0
-1.9723 4.3839 5.6853
1.9723 -4.3839 5.6853
1.9723 4.3839 -5.6853
Hf Al Zn
2 7 2
direct
0.1746 0.1746 0.0000
0.8254 0.8254 0.0000
0.0000 0.5000 0.5000
0.0797 0.3321 0.7476
0.3677 0.8677 0.5000
0.4156 0.6679 0.7476
0.5844 0.3321 0.2524
0.6323 0.1323 0.5000
0.9203 0.6679 0.2524
0.2365 0.0000 0.2365
0.7635 0.0000 0.7635
```

***

[6]
This entry pairs a crystal structure of ScAl10Fe2 with its computed XRD peak list. Radiation: Cu Kα. Structure: a cell relaxed with GGA-PBE.
No peak broadening, texture or thermal motion is included.

Peak list (6 most intense, 10 to 90 degrees two-theta, by intensity)
| 2θ/deg | d [Å] | I_rel |
| --- | --- | --- |
| 41.30 | 2.186 | 100 |
| 40.63 | 2.221 | 95 |
| 46.29 | 1.961 | 72 |
| 45.68 | 1.986 | 56 |
| 40.80 | 2.212 | 45 |
| 19.99 | 4.442 | 40 |

Atomic structure:
```
ScAl10Fe2
1.0
4.4446 -5.0220 0.0000
4.4446 5.0220 0.0000
0.0000 0.0000 8.8782
Sc Al Fe
2 20 4
direct
0.1313 0.8687 0.7500
0.8687 0.1313 0.2500
0.1377 0.4199 0.7500
0.1517 0.8483 0.0958
0.1517 0.8483 0.4042
0.2175 0.4765 0.2500
0.2275 0.2275 0.0000
0.2275 0.2275 0.5000
0.3725 0.6275 0.5461
0.3725 0.6275 0.9539
0.4199 0.1377 0.2500
0.4765 0.2175 0.7500
0.5235 0.7825 0.2500
0.5801 0.8623 0.7500
0.6275 0.3725 0.0461
0.6275 0.3725 0.4539
0.7725 0.7725 0.0000
0.7725 0.7725 0.5000
0.7825 0.5235 0.7500
0.8483 0.1517 0.5958
0.8483 0.1517 0.9042
0.8623 0.5801 0.2500
0.0000 0.5000 0.0000
0.0000 0.5000 0.5000
0.5000 0.0000 0.0000
0.5000 0.0000 0.5000
```

***

[7]
This entry pairs a crystal structure of Sr2YCu2Bi2O8 with its computed XRD peak list. Radiation: Cu Kα. Structure: a cell relaxed with GGA-PBE.
No peak broadening, texture or thermal motion is included.

Peak list (6 most intense, 10 to 90 degrees two-theta, by intensity)
| 2θ/deg | d [Å] | I_rel |
| --- | --- | --- |
| 31.15 | 2.871 | 100 |
| 33.41 | 2.682 | 97 |
| 27.63 | 3.229 | 82 |
| 47.97 | 1.896 | 46 |
| 56.29 | 1.634 | 43 |
| 44.83 | 2.022 | 39 |

Atomic structure:
```
Sr2YCu2Bi2O8
1.0
-1.8964 1.8964 15.3818
1.8964 -1.8964 15.3818
1.8964 1.8964 -15.3818
Sr Y Cu Bi O
2 1 2 2 8
direct
0.1139 0.1139 0.0000
0.8861 0.8861 0.0000
0.0000 0.0000 0.0000
0.4478 0.4478 0.0000
0.5522 0.5522 0.0000
0.2971 0.2971 0.0000
0.7029 0.7029 0.0000
0.0483 0.5483 0.5000
0.2006 0.2006 0.0000
0.3662 0.3662 0.0000
0.4517 0.9517 0.5000
0.5483 0.0483 0.5000
0.6338 0.6338 0.0000
0.7994 0.7994 0.0000
0.9517 0.4517 0.5000
```

***

[8]
This entry pairs a crystal structure of Pr2HoZn2 with its computed XRD peak list. Radiation: Cu Kα. Structure: a cell relaxed with GGA-PBE.
No peak broadening, texture or thermal motion is included.

Peak list (6 most intense, 10 to 90 degrees two-theta, by intensity)
| 2θ/deg | d [Å] | I_rel |
| --- | --- | --- |
| 35.28 | 2.544 | 100 |
| 36.51 | 2.461 | 84 |
| 32.81 | 2.730 | 75 |
| 63.09 | 1.473 | 33 |
| 24.91 | 3.575 | 31 |
| 61.82 | 1.501 | 28 |

Atomic structure:
```
Pr2HoZn2
1.0
1.8395 -10.1810 0.0000
1.8395 10.1810 0.0000
0.0000 0.0000 3.5749
Pr Ho Zn
2 1 2
direct
0.1739 0.8261 0.0000
0.8261 0.1739 0.0000
0.0000 0.0000 0.0000
0.4199 0.5801 0.5000
0.5801 0.4199 0.5000
```

***

- Number 7 is which compound?
  Sr2YCu2Bi2O8